1.
The following is a computed powder diffraction line list of DyY2Er6. It was derived from a DFT-relaxed cell (GGA-PBE, Alexandria), using a wavelength of 1.5418 Å.

Structure:
```
data_DyY2Er6
_cell_length_a 10.573
_cell_length_b 10.573
_cell_length_c 4.990
_cell_angle_alpha 90.00
_cell_angle_beta 90.00
_cell_angle_gamma 90.00
_space_group_name_H-M_alt 'P 42/m n m'
_space_group_IT_number 136
_space_group_name_Hall '-P 4n 2n'
loop_
_atom_site_label
_atom_site_fract_x
_atom_site_fract_y
_atom_site_fract_z
Dy1 0.000 0.000 0.000
Y1 0.167 0.167 0.500
Er1 0.000 0.334 0.000
Er2 0.167 0.833 0.500
```

Most intense lines, 10 to 80 degrees two-theta, in order of falling intensity:
index  d/Å  I (rel.)
3 0 1  2.879  100
3 3 0  2.493  51
6 3 1  1.503  42
6 0 0  1.763  36
6 0 2  1.439  12
6 6 0  1.246  4
2 1 0  4.728  2
0 0 4  1.247  2
1 1 1  4.150  2
1 0 1  4.513  1
2 2 1  2.992  1
2 1 2  2.207  1

2.
The following is a computed powder diffraction line list of Dy5Y5Er. It was derived from a DFT-relaxed cell (GGA-PBE, Alexandria), using a wavelength of 1.5418 Å.

Structure:
```
data_Dy5Y5Er
_cell_length_a 6.0792
_cell_length_b 6.0792
_cell_length_c 11.4473
_cell_angle_alpha 90.00
_cell_angle_beta 90.00
_cell_angle_gamma 120.00
_space_group_name_H-M_alt 'P -6 m 2'
_space_group_IT_number 187
_space_group_name_Hall 'P -6 2'
loop_
_atom_site_label
_atom_site_fract_x
_atom_site_fract_y
_atom_site_fract_z
Dy1 0.0000 0.0000 0.2351
Dy2 0.3368 0.1684 0.0000
Y1 0.0000 0.0000 0.5000
Y2 0.3333 0.6667 0.1821
Y3 0.6667 0.3333 0.3412
Er1 0.3333 0.6667 0.5000
```

Most intense lines, 10 to 80 degrees two-theta, in order of falling intensity:
index  d/Å  I (rel.)
1 0 3  3.090  100
1 1 0  3.040  83
2 0 2  2.392  67
1 1 1  2.938  42
2 0 1  2.565  38
2 1 3  1.764  37
1 1 3  2.377  34
1 0 4  2.514  34
2 2 0  1.520  34
1 1 2  2.685  33
2 0 4  1.937  32
0 0 4  2.862  30

3.
The following is a computed powder diffraction line list of Dy3Y2Er3. It was derived from a DFT-relaxed cell (GGA-PBE, Alexandria), using a wavelength of 1.5418 Å.

Structure:
```
data_Dy3Y2Er3
_cell_length_a 4.999
_cell_length_b 5.000
_cell_length_c 20.024
_cell_angle_alpha 90.00
_cell_angle_beta 90.00
_cell_angle_gamma 90.00
_space_group_name_H-M_alt 'I m m m'
_space_group_IT_number 71
_space_group_name_Hall '-I 2 2'
loop_
_atom_site_label
_atom_site_fract_x
_atom_site_fract_y
_atom_site_fract_z
Dy1 0.000 0.000 0.000
Dy2 0.000 0.500 0.124
Y1 0.000 0.000 0.250
Er1 0.000 0.000 0.500
Er2 0.000 0.500 0.376
```

Most intense lines, 10 to 80 degrees two-theta, in order of falling intensity:
index  d/Å  I (rel.)
1 1 4  2.888  100
2 0 0  2.501  50
3 1 4  1.508  42
2 2 0  1.768  36
2 2 8  1.444  12
4 0 0  1.250  4
1 1 6  2.426  2
1 1 2  3.334  2
0 0 16  1.252  2
0 0 4  5.006  1
1 1 0  3.535  1
2 0 10  1.562  1

4.
The following is a computed powder diffraction line list of Dy9Y4Er11. It was derived from a DFT-relaxed cell (GGA-PBE, Alexandria), using a wavelength of 1.5418 Å.

Structure:
```
data_Dy9Y4Er11
_cell_length_a 16.568
_cell_length_b 25.059
_cell_length_c 3.644
_cell_angle_alpha 90.00
_cell_angle_beta 90.00
_cell_angle_gamma 90.00
_space_group_name_H-M_alt 'C m m m'
_space_group_IT_number 65
_space_group_name_Hall '-C 2 2'
loop_
_atom_site_label
_atom_site_fract_x
_atom_site_fract_y
_atom_site_fract_z
Dy1 0.000 0.000 0.000
Dy2 0.102 0.234 0.000
Dy3 0.140 0.427 0.000
Y1 0.155 0.101 0.000
Er1 0.000 0.134 0.500
Er2 0.000 0.339 0.500
Er3 0.000 0.500 0.500
Er4 0.211 0.000 0.500
Er5 0.225 0.319 0.500
```

Most intense lines, 10 to 80 degrees two-theta, in order of falling intensity:
index  d/Å  I (rel.)
4 6 0  2.942  100
0 6 1  2.746  88
4 0 1  2.736  72
4 6 2  1.549  26
3 3 1  2.858  24
0 0 2  1.822  22
1 5 1  2.902  19
5 3 0  3.080  14
2 8 0  2.930  12
6 2 0  2.697  12
8 6 1  1.653  11
5 11 1  1.669  10